Diffraction record for Pu2Ni3Ge4Pd. The X-ray powder pattern is computed, not measured: it uses a DFT-relaxed cell (PBE, Alexandria) and CuKα.
Lines closer than 0.1° are merged.

Atomic structure:
Cell lengths 4.154, 4.154, 9.820 Å; angles 90.00, 90.00, 90.00 degrees
Atoms (fractional coordinates):
1 Pu 0.000 0.500 0.244
2 Pu 0.500 0.000 0.756
3 Ni 0.000 0.500 0.879
4 Ni 0.500 0.000 0.121
5 Ni 0.500 0.500 0.500
6 Ge 0.000 0.000 0.000
7 Ge 0.000 0.500 0.641
8 Ge 0.500 0.000 0.359
9 Ge 0.500 0.500 0.000
10 Pd 0.000 0.000 0.500

Peak list (6 most intense, 2θ from 10° to 80°, in order of falling intensity)
2θ (°)  I (rel.)
35.62  100
34.90  64
43.58  49
57.00  32
23.25  29
51.47  25

***

Diffraction record for CaPm5Si2. The X-ray powder pattern is computed, not measured: it uses a DFT-relaxed cell (PBE, Alexandria) and CuKα.
Lines closer than 0.1° are merged.

Atomic structure:
Cell lengths 7.648, 7.648, 7.648 Å; angles 145.06, 103.86, 86.60 degrees
Atoms (fractional coordinates):
1 Ca 0.000 0.000 0.000
2 Pm 0.151 0.338 0.814
3 Pm 0.476 0.662 0.814
4 Pm 0.500 0.000 0.500
5 Pm 0.524 0.338 0.186
6 Pm 0.849 0.662 0.186
7 Si 0.222 0.722 0.500
8 Si 0.778 0.278 0.500

Peak list (6 most intense, 2θ from 10° to 80°, in order of falling intensity)
2θ (°)  I (rel.)
30.99  100
37.50  63
28.29  61
12.30  60
34.58  58
55.41  41

***

Diffraction record for Al3Fe4Mo. The X-ray powder pattern is computed, not measured: it uses a DFT-relaxed cell (PBE, Alexandria) and CuKα.
Lines closer than 0.1° are merged.

Atomic structure:
Cell lengths 4.086, 4.086, 5.785 Å; angles 90.00, 90.00, 90.00 degrees
Atoms (fractional coordinates):
1 Al 0.000 0.000 0.000
2 Al 0.000 0.000 0.500
3 Al 0.500 0.500 0.000
4 Fe 0.000 0.500 0.250
5 Fe 0.000 0.500 0.750
6 Fe 0.500 0.000 0.250
7 Fe 0.500 0.000 0.750
8 Mo 0.500 0.500 0.500

Peak list (6 most intense, 2θ from 10° to 80°, in order of falling intensity)
2θ (°)  I (rel.)
44.32  100
64.47  15
26.71  8
15.32  7
21.75  7
34.70  4

***

Diffraction record for CsKUTe3. The X-ray powder pattern is computed, not measured: it uses a DFT-relaxed cell (PBE, Alexandria) and CuKα.
Lines closer than 0.1° are merged.

Atomic structure:
Cell lengths 9.577, 9.577, 8.076 Å; angles 95.84, 95.84, 127.45 degrees
Atoms (fractional coordinates):
1 Cs 0.249 0.751 0.750
2 Cs 0.751 0.249 0.250
3 K 0.418 0.582 0.250
4 K 0.582 0.418 0.750
5 U 0.052 0.948 0.250
6 U 0.948 0.052 0.750
7 Te 0.176 0.275 0.507
8 Te 0.220 0.780 0.250
9 Te 0.275 0.176 0.007
10 Te 0.725 0.824 0.993
11 Te 0.780 0.220 0.750
12 Te 0.824 0.725 0.493

Peak list (6 most intense, 2θ from 10° to 80°, in order of falling intensity)
2θ (°)  I (rel.)
11.90  100
23.28  91
27.51  76
31.31  51
34.97  42
35.65  39